1.
PmMg3Rh4: computed powder X-ray diffraction pattern (Cu Kα, 1.54184 Å), based on a PBE-relaxed structure.
No peak broadening, texture or thermal motion is included.

Principal peaks in the range 2θ from 10° to 80°, low angle first:
two_theta, d_spacing, I_rel
19.5, 4.554, 11
23.9, 3.727, 13
27.7, 3.220, 13
31.0, 2.884, 13
39.4, 2.285, 100
39.6, 2.277, 51
56.8, 1.621, 8
57.2, 1.610, 17
71.4, 1.321, 15
71.7, 1.316, 33

a b c (Å): 4.5538 4.5538 6.4853
angles (deg): 90.00 90.00 90.00
Space group P4/mmm (No. 123)
Asymmetric unit:
Pm1 0.0000 0.0000 0.0000
Mg1 0.0000 0.0000 0.5000
Mg2 0.5000 0.5000 0.0000
Mg3 0.5000 0.5000 0.5000
Rh1 0.0000 0.5000 0.2661

2.
Pm5Mg2Rh4: computed powder X-ray diffraction pattern (Cu Kα, 1.54184 Å), based on a PBE-relaxed structure.
No peak broadening, texture or thermal motion is included.

Principal peaks in the range 2θ from 10° to 80°, low angle first:
two_theta, d_spacing, I_rel
26.5, 3.362, 29
27.1, 3.287, 48
28.8, 3.100, 53
33.5, 2.678, 100
36.2, 2.480, 24
38.0, 2.369, 33
40.8, 2.213, 27
41.3, 2.188, 57
45.3, 2.001, 31
49.6, 1.837, 33

a b c (Å): 19.9855 4.0015 7.3492
angles (deg): 90.00 111.48 90.00
Space group C2/m (No. 12)
Asymmetric unit:
Pm1 0.0000 0.0000 0.0000
Pm2 0.1636 0.5000 0.4120
Pm3 0.1637 0.5000 0.9158
Mg1 0.0700 0.0000 0.5711
Rh1 0.0003 0.5000 0.3013
Rh2 0.2138 0.0000 0.7140

3.
Pm2MgSb4Rh3: computed powder X-ray diffraction pattern (Cu Kα, 1.54184 Å), based on a PBE-relaxed structure.
No peak broadening, texture or thermal motion is included.

Principal peaks in the range 2θ from 10° to 80°, low angle first:
two_theta, d_spacing, I_rel
28.4, 3.146, 19
31.1, 2.878, 62
32.6, 2.750, 100
40.6, 2.224, 64
43.0, 2.104, 22
44.9, 2.018, 35
52.0, 1.760, 29
58.7, 1.573, 21
62.1, 1.495, 27
68.8, 1.365, 22

a b c (Å): 4.4487 4.4487 11.3209
angles (deg): 90.00 90.00 90.00
Space group P-4m2 (No. 115)
Asymmetric unit:
Pm1 0.0000 0.5000 0.2427
Mg1 0.0000 0.0000 0.5000
Sb1 0.0000 0.0000 0.0000
Sb2 0.0000 0.5000 0.6461
Sb3 0.5000 0.5000 0.0000
Rh1 0.0000 0.5000 0.8749
Rh2 0.5000 0.5000 0.5000

4.
Pm3MgRu: computed powder X-ray diffraction pattern (Cu Kα, 1.54184 Å), based on a PBE-relaxed structure.
No peak broadening, texture or thermal motion is included.

Principal peaks in the range 2θ from 10° to 80°, low angle first:
two_theta, d_spacing, I_rel
11.0, 8.076, 58
17.3, 5.112, 24
26.5, 3.362, 34
28.2, 3.169, 22
29.9, 2.987, 59
32.0, 2.800, 51
33.8, 2.651, 100
34.7, 2.584, 41
39.1, 2.306, 61
54.9, 1.673, 34

a b c (Å): 6.7232 10.2233 16.1521
angles (deg): 90.00 90.00 90.00
Space group Fmmm (No. 69)
Asymmetric unit:
Pm1 0.0000 0.0000 0.2033
Pm2 0.0000 0.1957 0.3889
Mg1 0.2064 0.0000 0.0000
Ru1 0.2500 0.2500 0.2500

5.
PmMg2Ru: computed powder X-ray diffraction pattern (Cu Kα, 1.54184 Å), based on a PBE-relaxed structure.
No peak broadening, texture or thermal motion is included.

Principal peaks in the range 2θ from 10° to 80°, low angle first:
two_theta, d_spacing, I_rel
21.3, 4.163, 100
22.5, 3.944, 26
22.8, 3.905, 23
31.4, 2.848, 43
32.0, 2.794, 26
34.8, 2.579, 31
36.5, 2.464, 93
38.3, 2.350, 25
39.9, 2.262, 29
48.2, 1.889, 33

a b c (Å): 15.6211 8.3263 5.4654
angles (deg): 90.00 90.00 90.00
Space group Pnma (No. 62)
Asymmetric unit:
Pm1 0.1070 0.2500 0.2487
Pm2 0.1395 0.7500 0.0548
Mg1 0.0409 0.0590 0.7318
Mg2 0.2104 0.5568 0.5482
Ru1 0.0654 0.7500 0.5498
Ru2 0.1874 0.2500 0.7585

6.
PmMg11Ru: computed powder X-ray diffraction pattern (Cu Kα, 1.54184 Å), based on a PBE-relaxed structure.
No peak broadening, texture or thermal motion is included.

Principal peaks in the range 2θ from 10° to 80°, low angle first:
two_theta, d_spacing, I_rel
12.3, 7.183, 100
17.9, 4.958, 80
25.1, 3.546, 86
27.9, 3.201, 36
30.8, 2.906, 65
35.4, 2.533, 67
35.6, 2.524, 51
35.7, 2.514, 58
36.2, 2.481, 97
42.5, 2.129, 28

a b c (Å): 5.6894 14.3663 7.6872
angles (deg): 90.00 111.59 90.00
Space group C2/m (No. 12)
Asymmetric unit:
Pm1 0.0000 0.0000 0.0000
Mg1 0.0000 0.0000 0.5000
Mg2 0.0941 0.3980 0.2225
Mg3 0.2008 0.1657 0.3631
Mg4 0.2500 0.2500 0.0000
Ru1 0.0000 0.5000 0.5000

7.
Pm2MgSb4: computed powder X-ray diffraction pattern (Cu Kα, 1.54184 Å), based on a PBE-relaxed structure.
No peak broadening, texture or thermal motion is included.

Principal peaks in the range 2θ from 10° to 80°, low angle first:
two_theta, d_spacing, I_rel
23.8, 3.743, 15
26.1, 3.412, 33
30.5, 2.932, 24
31.7, 2.822, 16
33.5, 2.672, 100
38.3, 2.350, 21
42.1, 2.148, 37
45.6, 1.990, 16
58.2, 1.585, 12
71.4, 1.320, 22

a b c (Å): 4.2959 4.2959 11.2291
angles (deg): 90.00 90.00 90.00
Space group P-4m2 (No. 115)
Asymmetric unit:
Pm1 0.0000 0.5000 0.2282
Mg1 0.0000 0.0000 0.5000
Sb1 0.0000 0.0000 0.0000
Sb2 0.0000 0.5000 0.6706
Sb3 0.5000 0.5000 0.0000

8.
Pm5MgSb2: computed powder X-ray diffraction pattern (Cu Kα, 1.54184 Å), based on a PBE-relaxed structure.
No peak broadening, texture or thermal motion is included.

Principal peaks in the range 2θ from 10° to 80°, low angle first:
two_theta, d_spacing, I_rel
11.5, 7.681, 18
22.8, 3.897, 15
29.2, 3.054, 67
30.3, 2.947, 25
32.3, 2.774, 52
32.7, 2.742, 100
34.2, 2.623, 14
44.9, 2.020, 17
55.6, 1.654, 12
57.8, 1.595, 20

a b c (Å): 5.5480 12.0127 15.3611
angles (deg): 90.00 90.00 90.00
Space group Cmcm (No. 63)
Asymmetric unit:
Pm1 0.0000 0.0642 0.1010
Pm2 0.0000 0.3733 0.0461
Pm3 0.0000 0.4066 0.7500
Mg1 0.0000 0.2987 0.2500
Sb1 0.0000 0.2065 0.6186

9.
Pm2Mg6Sc: computed powder X-ray diffraction pattern (Cu Kα, 1.54184 Å), based on a PBE-relaxed structure.
No peak broadening, texture or thermal motion is included.

Principal peaks in the range 2θ from 10° to 80°, low angle first:
two_theta, d_spacing, I_rel
11.3, 7.860, 34
19.6, 4.538, 78
33.9, 2.645, 100
34.2, 2.620, 68
39.7, 2.269, 13
48.9, 1.861, 35
53.4, 1.715, 11
61.1, 1.517, 35
61.3, 1.513, 12
67.8, 1.382, 18

a b c (Å): 9.0759 9.0759 3.2545
angles (deg): 90.00 90.00 120.00
Space group P6/mmm (No. 191)
Asymmetric unit:
Pm1 0.3333 0.6667 0.0000
Mg1 0.0000 0.3256 0.5000
Sc1 0.0000 0.0000 0.0000

10.
Pm3Mg2Sc2: computed powder X-ray diffraction pattern (Cu Kα, 1.54184 Å), based on a PBE-relaxed structure.
No peak broadening, texture or thermal motion is included.

Principal peaks in the range 2θ from 10° to 80°, low angle first:
two_theta, d_spacing, I_rel
17.7, 5.019, 86
23.4, 3.809, 43
26.0, 3.422, 36
31.6, 2.828, 100
32.5, 2.757, 97
34.9, 2.572, 45
35.2, 2.546, 60
50.4, 1.810, 43
62.0, 1.496, 26
64.0, 1.454, 31

a b c (Å): 5.1446 22.8534 3.4237
angles (deg): 90.00 90.00 90.00
Space group Cmmm (No. 65)
Asymmetric unit:
Pm1 0.0000 0.0000 0.0000
Pm2 0.0000 0.1544 0.0000
Mg1 0.0000 0.4275 0.5000
Sc1 0.0000 0.2850 0.5000

11.
Pm2MgSe4: computed powder X-ray diffraction pattern (Cu Kα, 1.54184 Å), based on a PBE-relaxed structure.
No peak broadening, texture or thermal motion is included.

Principal peaks in the range 2θ from 10° to 80°, low angle first:
two_theta, d_spacing, I_rel
13.9, 6.387, 70
22.6, 3.927, 50
25.4, 3.508, 100
27.9, 3.194, 68
30.1, 2.966, 50
32.0, 2.796, 90
35.0, 2.565, 36
38.5, 2.336, 37
39.3, 2.292, 48
44.0, 2.059, 81

a b c (Å): 13.4444 4.1130 14.5181
angles (deg): 90.00 90.00 90.00
Space group Pnma (No. 62)
Asymmetric unit:
Pm1 0.1193 0.2500 0.0741
Pm2 0.1354 0.2500 0.7039
Mg1 0.1071 0.7500 0.4636
Se1 0.9996 0.2500 0.3837
Se2 0.0277 0.2500 0.8836
Se3 0.2271 0.2500 0.2464
Se4 0.2339 0.2500 0.5139

12.
PmMgSe3: computed powder X-ray diffraction pattern (Cu Kα, 1.54184 Å), based on a PBE-relaxed structure.
No peak broadening, texture or thermal motion is included.

Principal peaks in the range 2θ from 10° to 80°, low angle first:
two_theta, d_spacing, I_rel
14.7, 6.046, 15
14.9, 5.950, 14
17.1, 5.173, 17
24.2, 3.680, 22
28.6, 3.116, 100
34.7, 2.587, 20
38.7, 2.325, 50
42.9, 2.108, 17
43.1, 2.100, 45
52.5, 1.742, 21

a b c (Å): 7.2729 7.2729 18.1365
angles (deg): 90.00 90.00 120.00
Space group R-3 (No. 148, hexagonal axes)
Asymmetric unit:
Pm1 0.0000 0.0000 0.1467
Mg1 0.0000 0.0000 0.3472
Se1 0.0147 0.3721 0.9192

> Number 11 is which compound?

Pm2MgSe4